(1)
Starting from a DFT-relaxed cell (GGA-PBE, Alexandria), the powder X-ray diffraction pattern of KLiTl2Ni was computed for λ = 1.5418 Å (Cu Kα).

Peak list (10 most intense, 10 to 80 degrees two-theta, sorted by position)
- (0 0 1), d 5.215, I = 100.0
- (1 1 0), d 3.608, I = 38.9
- (1 1 1), d 2.967, I = 84.5
- (0 0 2), d 2.607, I = 27.1
- (2 0 0), d 2.551, I = 50.9
- (2 0 1), d 2.291, I = 50.9
- (1 1 2), d 2.113, I = 19.4
- (2 0 2), d 1.823, I = 37.5
- (2 2 1), d 1.705, I = 20.9
- (3 1 1), d 1.541, I = 24.6

Atomic structure:
Unit cell a=5.1018 b=5.1018 c=5.2147 alpha=90.00 beta=90.00 gamma=90.00
Space group P4/mmm (No. 123)
Symmetry-distinct sites (fractional):
K (0.0000, 0.0000, 0.0000) x1
Li (0.5000, 0.5000, 0.0000) x1
Tl (0.0000, 0.5000, 0.5000) x2
Ni (0.5000, 0.5000, 0.5000) x1


(2)
Starting from a DFT-relaxed cell (GGA-PBE, Alexandria), the powder X-ray diffraction pattern of K4LiNp3O8 was computed for λ = 1.5418 Å (Cu Kα).

Peak list (10 most intense, 10 to 80 degrees two-theta, sorted by position)
- (0 0 3), d 6.246, I = 100.0
- (1 0 1), d 5.768, I = 41.3
- (0 1 2), d 5.089, I = 29.5
- (0 0 6), d 3.123, I = 34.4
- (0 2 1), d 2.992, I = 41.3
- (2 0 2), d 2.884, I = 76.4
- (0 2 4), d 2.545, I = 96.8
- (2 0 8), d 1.853, I = 33.5
- (2 2 0), d 1.750, I = 31.1
- (2 2 6), d 1.527, I = 26.4

Atomic structure:
Unit cell a=6.9998 b=6.9998 c=18.7366 alpha=90.00 beta=90.00 gamma=120.00
Space group R-3m (No. 166, hexagonal axes)
Symmetry-distinct sites (fractional):
K (0.0000, 0.0000, 0.0000) x3
K (0.0000, 0.5000, 0.0000) x9
Li (0.0000, 0.0000, 0.5000) x3
Np (0.0000, 0.5000, 0.5000) x9
O (0.0000, 0.0000, 0.2319) x6
O (0.0227, 0.5114, 0.7720) x18


(3)
Starting from a DFT-relaxed cell (GGA-PBE, Alexandria), the powder X-ray diffraction pattern of KLi2Np2O7 was computed for λ = 1.5418 Å (Cu Kα).

Peak list (10 most intense, 10 to 80 degrees two-theta, sorted by position)
- (0 0 4), d 4.539, I = 53.3
- (1 0 1), d 4.150, I = 100.0
- (1 0 3), d 3.485, I = 64.4
- (1 1 0), d 3.015, I = 49.6
- (1 0 5), d 2.764, I = 53.9
- (1 1 4), d 2.511, I = 26.7
- (2 0 0), d 2.132, I = 33.3
- (2 1 1), d 1.896, I = 25.0
- (2 1 5), d 1.688, I = 26.4
- (2 0 8), d 1.554, I = 23.0

Atomic structure:
Unit cell a=4.2633 b=4.2633 c=18.1558 alpha=90.00 beta=90.00 gamma=90.00
Space group I4/mmm (No. 139)
Symmetry-distinct sites (fractional):
K (0.0000, 0.0000, 0.0000) x2
Li (0.0000, 0.5000, 0.2500) x4
Np (0.0000, 0.0000, 0.3822) x4
O (0.0000, 0.0000, 0.2733) x4
O (0.0000, 0.0000, 0.5000) x2
O (0.0000, 0.5000, 0.1180) x8


Question: Number 3 is which compound?
Answer: KLi2Np2O7